The following is a computed powder diffraction line list of TiZnMoP3O12. It was derived from a structure optimized by DFT (GGA+U), using Cu Ka.
Neutral-atom scattering factors, no anomalous dispersion.

Peak list (10 most intense, 2θ = 5–70°, sorted by position)
2θ/deg	d/Å	I/Imax
20.28	4.380	100
23.93	3.719	74
24.94	3.570	20
32.64	2.744	77
35.50	2.529	42
46.77	1.942	33
48.99	1.859	28
55.52	1.655	27
55.88	1.645	16
61.94	1.498	21

Atomic structure:
```
data_TiZnMoP3O12
_chemical_formula_sum 'Ti6 Zn6 Mo6 P18 O72'
_cell_length_a 8.7596
_cell_length_b 8.7596
_cell_length_c 21.1220
_cell_angle_alpha 90.00
_cell_angle_beta 90.00
_cell_angle_gamma 120.00
_symmetry_space_group_name_H-M 'R 3 c'
_symmetry_Int_Tables_number 161
_symmetry_space_group_name_Hall 'R 3 -2"c'
loop_
_atom_site_label
_atom_site_type_symbol
_atom_site_fract_x
_atom_site_fract_y
_atom_site_fract_z
_atom_site_occupancy
Ti1 Ti 0.0000 0.0000 0.0000 1
Zn1 Zn 0.0000 0.0000 0.1457 1
Mo1 Mo 0.0000 0.0000 0.2881 1
P1 P 0.0416 0.3655 0.0629 1
O1 O 0.0219 0.1791 0.0719 1
O2 O 0.1412 0.4513 0.0032 1
O3 O 0.1469 0.4774 0.1222 1
O4 O 0.1546 0.4784 0.3886 1
```